Entry 1:
# Hf6Al16Pt7
Computed powder X-ray diffraction pattern, a wavelength of 1.5418 Å. Input: the GGA-PBE geometry in OQMD.
Kinematic intensities with the Lorentz-polarization factor, no thermal factor.

Structure:
Cell lengths 12.3846, 12.3846, 12.3846 Å; angles 90.00, 90.00, 90.00 degrees
Space group Fm-3m (No. 225)
Asymmetric unit:
1 Hf 0.0000 0.0000 0.1810 x24
2 Al 0.1201 0.1201 0.3799 x32
3 Al 0.1646 0.1646 0.1646 x32
4 Pt 0.0000 0.0000 0.5000 x4
5 Pt 0.0000 0.2500 0.2500 x24

Most intense lines, 2θ from 10° to 90°, in order of rising 2θ:
2theta  Rel. int.  hkl
24.91  28  2 2 2
28.84  100  4 0 0
31.49  54  3 3 1
35.51  46  4 2 2
37.74  64  3 3 3
41.24  98  4 4 0
43.86  26  6 0 0
48.78  54  6 2 2
63.77  23  8 2 2
65.73  38  6 6 2
76.54  19  9 3 3
80.62  25  6 6 6

Entry 2:
# Hf2AlSbPt2
Computed powder X-ray diffraction pattern, a wavelength of 1.5418 Å. Input: the GGA-PBE geometry in OQMD.
Kinematic intensities with the Lorentz-polarization factor, no thermal factor.

Structure:
Cell lengths 6.2888, 6.2888, 12.5730 Å; angles 90.00, 90.00, 90.00 degrees
Space group I-42d (No. 122)
Asymmetric unit:
1 Hf 0.0000 0.0000 0.2458 x8
2 Al 0.0000 0.0000 0.0000 x4
3 Sb 0.0000 0.0000 0.5000 x4
4 Pt 0.2389 0.2500 0.1250 x8

Most intense lines, 2θ from 10° to 90°, in order of rising 2θ:
2theta  Rel. int.  hkl
15.76  2  1 0 1
24.52  60  1 1 2
25.54  3  1 0 3
28.39  2  2 0 0
32.63  2  2 1 1
40.58  100  2 2 0
47.99  30  1 1 6
58.73  17  4 0 0
64.61  12  3 1 6
73.83  34  4 2 4
79.14  9  1 1 10
87.82  11  4 4 0

Entry 3:
# HfAlRe2
Computed powder X-ray diffraction pattern, a wavelength of 1.5418 Å. Input: the GGA-PBE geometry in OQMD.
Kinematic intensities with the Lorentz-polarization factor, no thermal factor.

Structure:
Cell lengths 6.3668, 6.3668, 6.3668 Å; angles 90.00, 90.00, 90.00 degrees
Space group F-43m (No. 216)
Asymmetric unit:
1 Hf 0.0000 0.0000 0.0000 x4
2 Al 0.2500 0.2500 0.7500 x4
3 Re 0.0000 0.0000 0.5000 x4
4 Re 0.2500 0.2500 0.2500 x4

Most intense lines, 2θ from 10° to 90°, in order of rising 2θ:
2theta  Rel. int.  hkl
24.21  18  1 1 1
28.03  9  2 0 0
40.06  100  2 2 0
47.36  10  3 1 1
49.60  2  2 2 2
57.94  17  4 0 0
63.71  4  3 3 1
65.57  3  4 2 0
72.77  35  4 2 2
77.98  3  5 1 1
86.46  11  4 4 0

Entry 4:
# Hf2Al3Zn3
Computed powder X-ray diffraction pattern, a wavelength of 1.5418 Å. Input: the GGA-PBE geometry in OQMD.
Kinematic intensities with the Lorentz-polarization factor, no thermal factor.

Structure:
Cell lengths 4.0436, 4.0616, 8.0433 Å; angles 90.00, 90.00, 90.00 degrees
Space group Pmmm (No. 47)
Asymmetric unit:
1 Hf 0.0000 0.0000 0.2485 x2
2 Al 0.0000 0.5000 0.0000 x1
3 Al 0.5000 0.0000 0.0000 x1
4 Al 0.5000 0.0000 0.5000 x1
5 Zn 0.0000 0.5000 0.5000 x1
6 Zn 0.5000 0.5000 0.2514 x2

Most intense lines, 2θ from 10° to 90°, in order of rising 2θ:
2theta  Rel. int.  hkl
21.95  23  1 0 0
22.10  28  0 0 2
31.24  38  1 1 0
38.58  100  1 1 2
44.62  17  0 2 0
44.83  16  2 0 0
45.09  16  0 0 4
65.10  11  2 2 0
78.15  12  1 3 2
78.45  12  3 1 2
78.82  12  1 1 6
82.70  11  2 2 4

> What is the formula in the first record?

Hf6Al16Pt7